Record 1
For FeSnO3, a GGA+U-relaxed structure gives the computed X-ray powder pattern in this record (Cu Ka).

Largest 12 diffraction maxima, in order of falling intensity, 2θ from 15° to 90°:
2theta	d_spacing	I/Imax
30.75	2.908	100
32.93	2.720	95
33.15	2.703	95
31.33	2.856	95
31.61	2.831	89
33.40	2.682	86
45.68	1.986	80
18.37	4.829	64
22.38	3.973	62
49.95	1.826	54
57.58	1.601	38
58.79	1.571	37

Structure:
abc: 5.408 5.734 9.358
angles: 72.59 89.13 63.07
Element x y z (fractional)
1 Fe 0.208 0.077 0.070
2 Fe 0.290 0.924 0.430
3 Fe 0.710 0.076 0.570
4 Fe 0.792 0.923 0.930
5 Sn 0.026 0.449 0.675
6 Sn 0.475 0.550 0.825
7 Sn 0.525 0.450 0.175
8 Sn 0.974 0.551 0.325
9 O 0.187 0.742 0.630
10 O 0.222 0.747 0.268
11 O 0.241 0.739 0.971
12 O 0.259 0.261 0.528
13 O 0.276 0.255 0.231
14 O 0.314 0.258 0.870
15 O 0.686 0.742 0.130
16 O 0.724 0.745 0.769
17 O 0.741 0.739 0.472
18 O 0.759 0.261 0.029
19 O 0.778 0.253 0.732
20 O 0.813 0.258 0.370



Record 2
For V3Co5O16, a GGA+U-relaxed structure gives the computed X-ray powder pattern in this record (Cu Ka).

Largest 12 diffraction maxima, in order of falling intensity, 2θ from 15° to 90°:
2theta	d_spacing	I/Imax
20.66	4.300	100
20.20	4.396	70
37.93	2.372	64
27.18	3.281	33
65.29	1.429	31
66.19	1.412	30
48.33	1.883	26
20.79	4.273	26
48.16	1.889	24
37.54	2.396	22
37.77	2.382	22
20.90	4.250	21

Structure:
abc: 5.648 5.648 8.792
angles: 90.32 90.32 60.79
Element x y z (fractional)
1 V 0.000 0.000 0.000
2 V 0.175 0.678 0.503
3 V 0.678 0.175 0.503
4 Co 0.015 0.507 0.006
5 Co 0.184 0.184 0.735
6 Co 0.507 0.015 0.006
7 Co 0.517 0.517 0.229
8 Co 0.679 0.679 0.501
9 O 0.020 0.020 0.606
10 O 0.033 0.509 0.612
11 O 0.180 0.180 0.113
12 O 0.188 0.684 0.109
13 O 0.325 0.893 0.874
14 O 0.326 0.326 0.882
15 O 0.369 0.369 0.368
16 O 0.372 0.801 0.373
17 O 0.509 0.033 0.612
18 O 0.514 0.514 0.615
19 O 0.684 0.188 0.109
20 O 0.684 0.684 0.108
21 O 0.801 0.372 0.373
22 O 0.844 0.844 0.886
23 O 0.850 0.850 0.388
24 O 0.893 0.325 0.874



Repeat the second record exactly.
For V3Co5O16, a GGA+U-relaxed structure gives the computed X-ray powder pattern in this record (Cu Ka).

Largest 12 diffraction maxima, in order of falling intensity, 2θ from 15° to 90°:
2theta	d_spacing	I/Imax
20.66	4.300	100
20.20	4.396	70
37.93	2.372	64
27.18	3.281	33
65.29	1.429	31
66.19	1.412	30
48.33	1.883	26
20.79	4.273	26
48.16	1.889	24
37.54	2.396	22
37.77	2.382	22
20.90	4.250	21

Structure:
abc: 5.648 5.648 8.792
angles: 90.32 90.32 60.79
Element x y z (fractional)
1 V 0.000 0.000 0.000
2 V 0.175 0.678 0.503
3 V 0.678 0.175 0.503
4 Co 0.015 0.507 0.006
5 Co 0.184 0.184 0.735
6 Co 0.507 0.015 0.006
7 Co 0.517 0.517 0.229
8 Co 0.679 0.679 0.501
9 O 0.020 0.020 0.606
10 O 0.033 0.509 0.612
11 O 0.180 0.180 0.113
12 O 0.188 0.684 0.109
13 O 0.325 0.893 0.874
14 O 0.326 0.326 0.882
15 O 0.369 0.369 0.368
16 O 0.372 0.801 0.373
17 O 0.509 0.033 0.612
18 O 0.514 0.514 0.615
19 O 0.684 0.188 0.109
20 O 0.684 0.684 0.108
21 O 0.801 0.372 0.373
22 O 0.844 0.844 0.886
23 O 0.850 0.850 0.388
24 O 0.893 0.325 0.874